(1)
La2TbPm2: simulated powder diffraction line list (λ = 1.5418 Å (Cu Kα)), based on DFT lattice parameters and positions (PBE).
Neutral-atom scattering factors, no anomalous dispersion.

Atomic structure:
a b c (Å): 9.727 9.727 9.727
angles (deg): 158.25 149.15 38.07
Sites, in units of the cell vectors:
1 La 0.099 0.099 0.000
2 La 0.901 0.901 0.000
3 Tb 0.500 0.500 0.000
4 Pm 0.299 0.299 0.000
5 Pm 0.701 0.701 0.000

Largest 10 diffraction maxima, in order of falling intensity, 15° ≤ 2θ ≤ 90°:
| Position (°2θ) | Rel. int. |
| --- | --- |
| 29.82 | 100.0 |
| 34.52 | 33.9 |
| 49.72 | 30.2 |
| 58.98 | 28.9 |
| 34.67 | 16.8 |
| 59.17 | 14.3 |
| 61.95 | 12.5 |
| 80.73 | 8.8 |
| 83.22 | 8.2 |
| 49.57 | 6.1 |


(2)
ZnHgAu: simulated powder diffraction line list (λ = 1.5418 Å (Cu Kα)), based on DFT lattice parameters and positions (PBE).
Neutral-atom scattering factors, no anomalous dispersion.

Atomic structure:
a b c (Å): 5.219 5.219 5.219
angles (deg): 140.85 140.85 56.56
Sites, in units of the cell vectors:
1 Zn 0.000 0.000 0.000
2 Hg 0.319 0.319 0.000
3 Au 0.632 0.632 0.000

Largest 10 diffraction maxima, in order of falling intensity, 15° ≤ 2θ ≤ 90°:
| Position (°2θ) | Rel. int. |
| --- | --- |
| 39.08 | 100.0 |
| 36.33 | 64.7 |
| 67.21 | 46.2 |
| 27.28 | 27.4 |
| 52.32 | 22.9 |
| 72.59 | 13.7 |
| 88.39 | 11.0 |
| 54.51 | 9.6 |
| 83.98 | 9.6 |
| 77.14 | 7.4 |


(3)
Pu2O3: simulated powder diffraction line list (λ = 1.5418 Å (Cu Kα)), based on DFT lattice parameters and positions (PBE).
Neutral-atom scattering factors, no anomalous dispersion.

Atomic structure:
a b c (Å): 9.436 9.436 9.436
angles (deg): 109.47 109.47 109.47
Sites, in units of the cell vectors:
1 Pu 0.000 0.000 0.500
2 Pu 0.000 0.500 0.000
3 Pu 0.027 0.750 0.777
4 Pu 0.223 0.973 0.250
5 Pu 0.250 0.223 0.973
6 Pu 0.250 0.723 0.473
7 Pu 0.277 0.527 0.750
8 Pu 0.473 0.250 0.723
9 Pu 0.500 0.000 0.000
10 Pu 0.500 0.500 0.500
11 Pu 0.527 0.750 0.277
12 Pu 0.723 0.473 0.250
13 Pu 0.750 0.277 0.527
14 Pu 0.750 0.777 0.027
15 Pu 0.777 0.027 0.750
16 Pu 0.973 0.250 0.223
17 O 0.007 0.036 0.269
18 O 0.028 0.493 0.761
19 O 0.036 0.269 0.007
20 O 0.231 0.267 0.739
21 O 0.233 0.464 0.472
22 O 0.239 0.972 0.507
23 O 0.261 0.769 0.733
24 O 0.267 0.739 0.231
25 O 0.269 0.007 0.036
26 O 0.464 0.472 0.233
27 O 0.472 0.233 0.464
28 O 0.493 0.761 0.028
29 O 0.507 0.239 0.972
30 O 0.528 0.767 0.536
31 O 0.536 0.528 0.767
32 O 0.731 0.993 0.964
33 O 0.733 0.261 0.769
34 O 0.739 0.231 0.267
35 O 0.761 0.028 0.493
36 O 0.767 0.536 0.528
37 O 0.769 0.733 0.261
38 O 0.964 0.731 0.993
39 O 0.972 0.507 0.239
40 O 0.993 0.964 0.731

Largest 10 diffraction maxima, in order of falling intensity, 15° ≤ 2θ ≤ 90°:
| Position (°2θ) | Rel. int. |
| --- | --- |
| 28.37 | 100.0 |
| 32.88 | 40.0 |
| 47.19 | 39.9 |
| 55.98 | 37.7 |
| 76.17 | 12.2 |
| 78.52 | 9.9 |
| 58.71 | 8.9 |
| 87.77 | 8.5 |
| 19.96 | 6.4 |
| 42.29 | 5.9 |


(4)
CrRuBr4: simulated powder diffraction line list (λ = 1.5418 Å (Cu Kα)), based on DFT lattice parameters and positions (PBE).
Neutral-atom scattering factors, no anomalous dispersion.

Atomic structure:
a b c (Å): 6.161 6.161 6.161
angles (deg): 60.00 60.00 60.00
Sites, in units of the cell vectors:
1 Cr 0.000 0.000 0.000
2 Ru 0.750 0.750 0.750
3 Br 0.375 0.375 0.375
4 Br 0.375 0.375 0.874
5 Br 0.375 0.874 0.375
6 Br 0.874 0.375 0.375

Largest 10 diffraction maxima, in order of falling intensity, 15° ≤ 2θ ≤ 90°:
| Position (°2θ) | Rel. int. |
| --- | --- |
| 34.13 | 100.0 |
| 35.70 | 42.0 |
| 54.74 | 32.9 |
| 60.07 | 28.4 |
| 28.98 | 25.1 |
| 85.63 | 20.6 |
| 71.87 | 15.8 |
| 70.93 | 11.2 |
| 51.37 | 9.5 |
| 17.63 | 9.2 |


(5)
CsScMnTe3: simulated powder diffraction line list (λ = 1.5418 Å (Cu Kα)), based on DFT lattice parameters and positions (PBE).
Neutral-atom scattering factors, no anomalous dispersion.

Atomic structure:
a b c (Å): 8.604 8.604 9.748
angles (deg): 99.55 99.55 33.48
Sites, in units of the cell vectors:
1 Cs 0.142 0.142 0.047
2 Cs 0.858 0.858 0.953
3 Sc 0.141 0.141 0.543
4 Sc 0.859 0.859 0.457
5 Mn 0.496 0.496 0.600
6 Mn 0.504 0.504 0.400
7 Te 0.001 0.001 0.309
8 Te 0.336 0.336 0.636
9 Te 0.350 0.350 0.267
10 Te 0.650 0.650 0.733
11 Te 0.664 0.664 0.364
12 Te 0.999 0.999 0.691

Largest 10 diffraction maxima, in order of falling intensity, 15° ≤ 2θ ≤ 90°:
| Position (°2θ) | Rel. int. |
| --- | --- |
| 32.48 | 100.0 |
| 28.92 | 78.7 |
| 36.25 | 72.3 |
| 33.12 | 65.7 |
| 25.74 | 48.8 |
| 27.10 | 45.1 |
| 35.55 | 42.7 |
| 27.88 | 42.2 |
| 49.91 | 40.4 |
| 28.14 | 34.1 |


(6)
Cs3BiI: simulated powder diffraction line list (λ = 1.5418 Å (Cu Kα)), based on DFT lattice parameters and positions (PBE).
Neutral-atom scattering factors, no anomalous dispersion.

Atomic structure:
a b c (Å): 6.481 7.170 14.673
angles (deg): 78.56 77.28 63.16
Sites, in units of the cell vectors:
1 Cs 0.000 0.000 0.000
2 Cs 0.047 0.646 0.261
3 Cs 0.257 0.028 0.459
4 Cs 0.467 0.334 0.734
5 Cs 0.676 0.714 0.933
6 Cs 0.723 0.361 0.193
7 Bi 0.315 0.357 0.012
8 Bi 0.408 0.003 0.181
9 I 0.157 0.951 0.734
10 I 0.565 0.410 0.460

Largest 10 diffraction maxima, in order of falling intensity, 15° ≤ 2θ ≤ 90°:
| Position (°2θ) | Rel. int. |
| --- | --- |
| 27.51 | 100.0 |
| 25.03 | 86.1 |
| 31.88 | 43.9 |
| 25.61 | 40.9 |
| 27.68 | 39.1 |
| 15.50 | 38.3 |
| 26.16 | 36.9 |
| 28.36 | 31.6 |
| 37.56 | 30.0 |
| 35.14 | 28.1 |